(1)
Computed PXRD pattern of PuSb3 for a wavelength of 1.5418 Å, from the PBE geometry in the Materials Project.
Lines closer than 0.1° are merged.

```
data_PuSb3
_cell_length_a 6.3178
_cell_length_b 6.3178
_cell_length_c 5.8468
_cell_angle_alpha 90.00
_cell_angle_beta 90.00
_cell_angle_gamma 120.00
_symmetry_space_group_name_H-M 'P 63/m m c'
_symmetry_Int_Tables_number 194
_symmetry_space_group_name_Hall '-P 6c 2c'
loop_
_atom_site_label
_atom_site_fract_x
_atom_site_fract_y
_atom_site_fract_z
_atom_site_occupancy
Pu1 0.3333 0.6667 0.2500 1
Sb1 0.1726 0.3453 0.7500 1
```

Principal peaks in the range 10° ≤ 2θ ≤ 90°, by angle:
h k l  2θ (°)  I (rel.)
1 0 1  22.3  9
0 0 2  30.6  35
2 0 0  32.7  22
2 0 1  36.3  100
2 0 2  45.4  18
2 0 3  58.1  26
2 2 0  58.4  16
2 2 2  67.4  22
4 0 1  70.7  14
4 0 3  87.0  8

***

(2)
Computed PXRD pattern of Na2TeSe3 for a wavelength of 1.5418 Å, from the PBE geometry in the Materials Project.
Lines closer than 0.1° are merged.

```
data_Na2TeSe3
_cell_length_a 22.008
_cell_length_b 6.063
_cell_length_c 12.171
_cell_angle_alpha 90.00
_cell_angle_beta 121.15
_cell_angle_gamma 90.00
_symmetry_space_group_name_H-M 'C 1 2/c 1'
_symmetry_Int_Tables_number 15
_symmetry_space_group_name_Hall '-C 2yc'
loop_
_atom_site_label
_atom_site_fract_x
_atom_site_fract_y
_atom_site_fract_z
_atom_site_occupancy
Na1 0.072 0.035 0.191 1
Na2 0.248 0.489 0.876 1
Te1 0.107 0.449 0.508 1
Se1 0.086 0.467 0.694 1
Se2 0.090 0.037 0.457 1
Se3 0.240 0.491 0.617 1
```

Principal peaks in the range 10° ≤ 2θ ≤ 90°, by angle:
h k l  2θ (°)  I (rel.)
1 1 0  15.4  20
0 0 2  17.0  20
1 1 -2  21.1  17
1 1 2  24.8  14
6 0 0  28.4  50
4 0 -4  29.4  100
6 2 0  41.4  30
4 2 -4  42.1  31
10 0 -4  42.2  19
10 2 -4  52.3  16